# 1
Starting from a structure optimized by DFT (GGA+U), the X-ray diffraction stick pattern of Ba2MnNbO6 was computed for a wavelength of 1.5418 Å.
Intensities are scaled so that the largest is 100.

Peak list (10 most intense, 5 to 70 degrees two-theta, low angle first)
- hkl 2 0 0, 4.107 Å, I = 4.2
- hkl 2 0 4, 2.916 Å, I = 100.0
- hkl 2 2 0, 2.904 Å, I = 49.4
- hkl 2 2 4, 2.377 Å, I = 16.9
- hkl 0 0 8, 2.070 Å, I = 16.2
- hkl 4 0 0, 2.053 Å, I = 32.0
- hkl 2 2 8, 1.686 Å, I = 19.6
- hkl 4 2 4, 1.679 Å, I = 38.9
- hkl 4 0 8, 1.458 Å, I = 19.4
- hkl 4 4 0, 1.452 Å, I = 9.7

```
data_Ba2MnNbO6
_space_group_name_H-M_alt 'I 41/a m d'
_space_group_IT_number 141
_cell_length_a 8.2138
_cell_length_b 8.2138
_cell_length_c 16.5612
_cell_angle_alpha 90.00
_cell_angle_beta 90.00
_cell_angle_gamma 90.00
loop_
_space_group_symop_operation_xyz
'x,y,z'
'-x,-y,-z'
'-y+1/4,x+3/4,z+1/4'
'y+1/4,-x+3/4,-z+1/4'
'-x+1/2,-y,z+1/2'
'x+1/2,y,-z+1/2'
'y+1/4,-x+1/4,z+3/4'
'-y+1/4,x+1/4,-z+3/4'
'x,-y,-z'
'-x,y,z'
'-y+1/4,-x+1/4,-z+3/4'
'y+1/4,x+1/4,z+3/4'
'-x+1/2,y,-z+1/2'
'x+1/2,-y,z+1/2'
'y+1/4,x+3/4,-z+1/4'
'-y+1/4,-x+3/4,z+1/4'
'x+1/2,y+1/2,z+1/2'
'-x+1/2,-y+1/2,-z+1/2'
'-y+3/4,x+1/4,z+3/4'
'y+3/4,-x+1/4,-z+3/4'
'-x,-y+1/2,z'
'x,y+1/2,-z'
'y+3/4,-x+3/4,z+1/4'
'-y+3/4,x+3/4,-z+1/4'
'x+1/2,-y+1/2,-z+1/2'
'-x+1/2,y+1/2,z+1/2'
'-y+3/4,-x+3/4,-z+1/4'
'y+3/4,x+3/4,z+1/4'
'-x,y+1/2,-z'
'x,-y+1/2,z'
'y+3/4,x+1/4,-z+3/4'
'-y+3/4,-x+1/4,z+3/4'
loop_
_atom_site_label
_atom_site_type_symbol
_atom_site_fract_x
_atom_site_fract_y
_atom_site_fract_z
_atom_site_occupancy
Ba1 Ba 0.2496 0.0000 0.0000 1
Mn1 Mn 0.0000 0.2500 0.3750 1
Mn2 Mn 0.0000 0.2500 0.8750 1
Nb1 Nb 0.0000 0.2500 0.1241 1
O1 O 0.0000 0.0010 0.3723 1
O2 O 0.0000 0.0068 0.1217 1
O3 O 0.0000 0.2500 0.2417 1
O4 O 0.0000 0.2500 0.7549 1
```



# 2
Starting from a structure optimized by DFT (GGA+U), the X-ray diffraction stick pattern of MnAgAsO4 was computed for a wavelength of 1.5418 Å.
Intensities are scaled so that the largest is 100.

Peak list (10 most intense, 5 to 70 degrees two-theta, low angle first)
- hkl 1 0 1, 4.505 Å, I = 64.9
- hkl 1 1 0, 3.855 Å, I = 12.4
- hkl 1 1 2, 2.776 Å, I = 100.0
- hkl 2 0 0, 2.726 Å, I = 30.7
- hkl 2 1 1, 2.332 Å, I = 17.6
- hkl 2 2 0, 1.928 Å, I = 18.7
- hkl 1 2 3, 1.799 Å, I = 9.4
- hkl 2 0 4, 1.612 Å, I = 22.6
- hkl 3 1 2, 1.583 Å, I = 32.3
- hkl 2 2 4, 1.388 Å, I = 8.8

```
data_MnAgAsO4
_space_group_name_H-M_alt 'I -4'
_space_group_IT_number 82
_cell_length_a 5.4522
_cell_length_b 5.4522
_cell_length_c 7.9993
_cell_angle_alpha 90.00
_cell_angle_beta 90.00
_cell_angle_gamma 90.00
loop_
_space_group_symop_operation_xyz
'x,y,z'
'y,-x,-z'
'-x,-y,z'
'-y,x,-z'
'x+1/2,y+1/2,z+1/2'
'y+1/2,-x+1/2,-z+1/2'
'-x+1/2,-y+1/2,z+1/2'
'-y+1/2,x+1/2,-z+1/2'
loop_
_atom_site_label
_atom_site_type_symbol
_atom_site_fract_x
_atom_site_fract_y
_atom_site_fract_z
_atom_site_occupancy
Mn1 Mn 0.0000 0.0000 0.0000 1
Ag1 Ag 0.0000 0.0000 0.5000 1
As1 As 0.0000 0.5000 0.2500 1
O1 O 0.1579 0.2908 0.1288 1
```



Repeat the second record exactly.
Starting from a structure optimized by DFT (GGA+U), the X-ray diffraction stick pattern of MnAgAsO4 was computed for a wavelength of 1.5418 Å.
Intensities are scaled so that the largest is 100.

Peak list (10 most intense, 5 to 70 degrees two-theta, low angle first)
- hkl 1 0 1, 4.505 Å, I = 64.9
- hkl 1 1 0, 3.855 Å, I = 12.4
- hkl 1 1 2, 2.776 Å, I = 100.0
- hkl 2 0 0, 2.726 Å, I = 30.7
- hkl 2 1 1, 2.332 Å, I = 17.6
- hkl 2 2 0, 1.928 Å, I = 18.7
- hkl 1 2 3, 1.799 Å, I = 9.4
- hkl 2 0 4, 1.612 Å, I = 22.6
- hkl 3 1 2, 1.583 Å, I = 32.3
- hkl 2 2 4, 1.388 Å, I = 8.8

```
data_MnAgAsO4
_space_group_name_H-M_alt 'I -4'
_space_group_IT_number 82
_cell_length_a 5.4522
_cell_length_b 5.4522
_cell_length_c 7.9993
_cell_angle_alpha 90.00
_cell_angle_beta 90.00
_cell_angle_gamma 90.00
loop_
_space_group_symop_operation_xyz
'x,y,z'
'y,-x,-z'
'-x,-y,z'
'-y,x,-z'
'x+1/2,y+1/2,z+1/2'
'y+1/2,-x+1/2,-z+1/2'
'-x+1/2,-y+1/2,z+1/2'
'-y+1/2,x+1/2,-z+1/2'
loop_
_atom_site_label
_atom_site_type_symbol
_atom_site_fract_x
_atom_site_fract_y
_atom_site_fract_z
_atom_site_occupancy
Mn1 Mn 0.0000 0.0000 0.0000 1
Ag1 Ag 0.0000 0.0000 0.5000 1
As1 As 0.0000 0.5000 0.2500 1
O1 O 0.1579 0.2908 0.1288 1
```



Copy entry 1 word for word.
Starting from a structure optimized by DFT (GGA+U), the X-ray diffraction stick pattern of Ba2MnNbO6 was computed for a wavelength of 1.5418 Å.
Intensities are scaled so that the largest is 100.

Peak list (10 most intense, 5 to 70 degrees two-theta, low angle first)
- hkl 2 0 0, 4.107 Å, I = 4.2
- hkl 2 0 4, 2.916 Å, I = 100.0
- hkl 2 2 0, 2.904 Å, I = 49.4
- hkl 2 2 4, 2.377 Å, I = 16.9
- hkl 0 0 8, 2.070 Å, I = 16.2
- hkl 4 0 0, 2.053 Å, I = 32.0
- hkl 2 2 8, 1.686 Å, I = 19.6
- hkl 4 2 4, 1.679 Å, I = 38.9
- hkl 4 0 8, 1.458 Å, I = 19.4
- hkl 4 4 0, 1.452 Å, I = 9.7

```
data_Ba2MnNbO6
_space_group_name_H-M_alt 'I 41/a m d'
_space_group_IT_number 141
_cell_length_a 8.2138
_cell_length_b 8.2138
_cell_length_c 16.5612
_cell_angle_alpha 90.00
_cell_angle_beta 90.00
_cell_angle_gamma 90.00
loop_
_space_group_symop_operation_xyz
'x,y,z'
'-x,-y,-z'
'-y+1/4,x+3/4,z+1/4'
'y+1/4,-x+3/4,-z+1/4'
'-x+1/2,-y,z+1/2'
'x+1/2,y,-z+1/2'
'y+1/4,-x+1/4,z+3/4'
'-y+1/4,x+1/4,-z+3/4'
'x,-y,-z'
'-x,y,z'
'-y+1/4,-x+1/4,-z+3/4'
'y+1/4,x+1/4,z+3/4'
'-x+1/2,y,-z+1/2'
'x+1/2,-y,z+1/2'
'y+1/4,x+3/4,-z+1/4'
'-y+1/4,-x+3/4,z+1/4'
'x+1/2,y+1/2,z+1/2'
'-x+1/2,-y+1/2,-z+1/2'
'-y+3/4,x+1/4,z+3/4'
'y+3/4,-x+1/4,-z+3/4'
'-x,-y+1/2,z'
'x,y+1/2,-z'
'y+3/4,-x+3/4,z+1/4'
'-y+3/4,x+3/4,-z+1/4'
'x+1/2,-y+1/2,-z+1/2'
'-x+1/2,y+1/2,z+1/2'
'-y+3/4,-x+3/4,-z+1/4'
'y+3/4,x+3/4,z+1/4'
'-x,y+1/2,-z'
'x,-y+1/2,z'
'y+3/4,x+1/4,-z+3/4'
'-y+3/4,-x+1/4,z+3/4'
loop_
_atom_site_label
_atom_site_type_symbol
_atom_site_fract_x
_atom_site_fract_y
_atom_site_fract_z
_atom_site_occupancy
Ba1 Ba 0.2496 0.0000 0.0000 1
Mn1 Mn 0.0000 0.2500 0.3750 1
Mn2 Mn 0.0000 0.2500 0.8750 1
Nb1 Nb 0.0000 0.2500 0.1241 1
O1 O 0.0000 0.0010 0.3723 1
O2 O 0.0000 0.0068 0.1217 1
O3 O 0.0000 0.2500 0.2417 1
O4 O 0.0000 0.2500 0.7549 1
```



Please write out number 1 again, unchanged.
Starting from a structure optimized by DFT (GGA+U), the X-ray diffraction stick pattern of Ba2MnNbO6 was computed for a wavelength of 1.5418 Å.
Intensities are scaled so that the largest is 100.

Peak list (10 most intense, 5 to 70 degrees two-theta, low angle first)
- hkl 2 0 0, 4.107 Å, I = 4.2
- hkl 2 0 4, 2.916 Å, I = 100.0
- hkl 2 2 0, 2.904 Å, I = 49.4
- hkl 2 2 4, 2.377 Å, I = 16.9
- hkl 0 0 8, 2.070 Å, I = 16.2
- hkl 4 0 0, 2.053 Å, I = 32.0
- hkl 2 2 8, 1.686 Å, I = 19.6
- hkl 4 2 4, 1.679 Å, I = 38.9
- hkl 4 0 8, 1.458 Å, I = 19.4
- hkl 4 4 0, 1.452 Å, I = 9.7

```
data_Ba2MnNbO6
_space_group_name_H-M_alt 'I 41/a m d'
_space_group_IT_number 141
_cell_length_a 8.2138
_cell_length_b 8.2138
_cell_length_c 16.5612
_cell_angle_alpha 90.00
_cell_angle_beta 90.00
_cell_angle_gamma 90.00
loop_
_space_group_symop_operation_xyz
'x,y,z'
'-x,-y,-z'
'-y+1/4,x+3/4,z+1/4'
'y+1/4,-x+3/4,-z+1/4'
'-x+1/2,-y,z+1/2'
'x+1/2,y,-z+1/2'
'y+1/4,-x+1/4,z+3/4'
'-y+1/4,x+1/4,-z+3/4'
'x,-y,-z'
'-x,y,z'
'-y+1/4,-x+1/4,-z+3/4'
'y+1/4,x+1/4,z+3/4'
'-x+1/2,y,-z+1/2'
'x+1/2,-y,z+1/2'
'y+1/4,x+3/4,-z+1/4'
'-y+1/4,-x+3/4,z+1/4'
'x+1/2,y+1/2,z+1/2'
'-x+1/2,-y+1/2,-z+1/2'
'-y+3/4,x+1/4,z+3/4'
'y+3/4,-x+1/4,-z+3/4'
'-x,-y+1/2,z'
'x,y+1/2,-z'
'y+3/4,-x+3/4,z+1/4'
'-y+3/4,x+3/4,-z+1/4'
'x+1/2,-y+1/2,-z+1/2'
'-x+1/2,y+1/2,z+1/2'
'-y+3/4,-x+3/4,-z+1/4'
'y+3/4,x+3/4,z+1/4'
'-x,y+1/2,-z'
'x,-y+1/2,z'
'y+3/4,x+1/4,-z+3/4'
'-y+3/4,-x+1/4,z+3/4'
loop_
_atom_site_label
_atom_site_type_symbol
_atom_site_fract_x
_atom_site_fract_y
_atom_site_fract_z
_atom_site_occupancy
Ba1 Ba 0.2496 0.0000 0.0000 1
Mn1 Mn 0.0000 0.2500 0.3750 1
Mn2 Mn 0.0000 0.2500 0.8750 1
Nb1 Nb 0.0000 0.2500 0.1241 1
O1 O 0.0000 0.0010 0.3723 1
O2 O 0.0000 0.0068 0.1217 1
O3 O 0.0000 0.2500 0.2417 1
O4 O 0.0000 0.2500 0.7549 1
```



What is the formula in the first record?
Ba2MnNbO6